Simulated powder XRD pattern of BaNiH3 for a wavelength of 1.5418 Å, from DFT lattice parameters and positions (GGA-PBE).
Kinematic intensities with the Lorentz-polarization factor, no thermal factor.

Cell and atoms:
Cell: 3.861 3.861 3.861 Å, 90.00 90.00 90.00°
Fractional positions:
Ba 0.000 0.000 0.000
Ni 0.500 0.500 0.500
H 0.000 0.500 0.500
H 0.500 0.000 0.500
H 0.500 0.500 0.000

Largest 10 diffraction maxima, in order of falling intensity, 15° ≤ 2θ ≤ 90°:
| Position (°2θ) | d/Å | intensity | (hkl) |
| --- | --- | --- | --- |
| 32.8 | 2.730 | 100 | 1 1 0 |
| 58.6 | 1.576 | 37 | 2 1 1 |
| 47.1 | 1.930 | 19 | 2 0 0 |
| 78.3 | 1.221 | 16 | 3 1 0 |
| 23.0 | 3.861 | 13 | 1 0 0 |
| 68.8 | 1.365 | 12 | 2 2 0 |
| 53.0 | 1.727 | 6 | 2 1 0 |
| 40.5 | 2.229 | 5 | 1 1 1 |
| 87.5 | 1.114 | 4 | 2 2 2 |
| 73.6 | 1.287 | 3 | 3 0 0 |